(1)
The following is a calculated powder diffractogram of CePuTiN3. It was derived from a cell relaxed with GGA-PBE, using a wavelength of 1.5418 Å.
Kinematic intensities with the Lorentz-polarization factor, no thermal factor.

Structural model:
Unit cell a=7.219 b=3.478 c=7.644 alpha=90.00 beta=95.50 gamma=90.00
Element x y z (fractional)
Ce (0.160, 0.250, 0.168)
Ce (0.840, 0.750, 0.832)
Pu (0.375, 0.750, 0.829)
Pu (0.625, 0.250, 0.171)
Ti (0.113, 0.250, 0.593)
Ti (0.887, 0.750, 0.407)
N (0.116, 0.250, 0.852)
N (0.167, 0.750, 0.482)
N (0.399, 0.750, 0.122)
N (0.601, 0.250, 0.878)
N (0.833, 0.250, 0.518)
N (0.884, 0.750, 0.148)

Principal peaks in the range 15° ≤ 2θ ≤ 90°, in order of rising 2θ:
| d/Å | 2theta | I (rel.) |
| --- | --- | --- |
| 5.494 | 16.13 | 32 |
| 3.376 | 26.40 | 30 |
| 3.163 | 28.21 | 65 |
| 3.135 | 28.47 | 36 |
| 2.747 | 32.60 | 35 |
| 2.567 | 34.95 | 55 |
| 2.536 | 35.39 | 38 |
| 2.498 | 35.95 | 100 |
| 2.423 | 37.11 | 20 |
| 1.843 | 49.47 | 23 |

(2)
The following is a calculated powder diffractogram of AcTh3C8. It was derived from a cell relaxed with GGA-PBE, using a wavelength of 1.5418 Å.
Kinematic intensities with the Lorentz-polarization factor, no thermal factor.

Structural model:
Unit cell a=6.504 b=6.504 c=6.504 alpha=114.12 beta=114.12 gamma=100.52
Element x y z (fractional)
Ac (0.000, 0.000, 0.000)
Th (0.250, 0.750, 0.500)
Th (0.500, 0.500, 0.000)
Th (0.750, 0.250, 0.500)
C (0.095, 0.095, 0.649)
C (0.112, 0.582, 0.000)
C (0.418, 0.418, 0.531)
C (0.446, 0.446, 0.351)
C (0.554, 0.905, 0.000)
C (0.582, 0.112, 0.000)
C (0.888, 0.888, 0.469)
C (0.905, 0.554, 0.000)

Principal peaks in the range 15° ≤ 2θ ≤ 90°, in order of rising 2θ:
| d/Å | 2theta | I (rel.) |
| --- | --- | --- |
| 3.536 | 25.18 | 55 |
| 3.197 | 27.91 | 100 |
| 2.501 | 35.91 | 30 |
| 1.970 | 46.08 | 56 |
| 1.792 | 50.96 | 21 |
| 1.599 | 57.67 | 14 |
| 1.582 | 58.35 | 13 |
| 1.316 | 71.73 | 15 |
| 1.259 | 75.54 | 14 |
| 1.178 | 81.74 | 14 |

(3)
The following is a calculated powder diffractogram of Ac2Mg2Ge. It was derived from a cell relaxed with GGA-PBE, using a wavelength of 1.5418 Å.
Kinematic intensities with the Lorentz-polarization factor, no thermal factor.

Structural model:
Unit cell a=10.269 b=10.269 c=10.269 alpha=157.23 beta=157.23 gamma=32.43
Element x y z (fractional)
Ac (0.086, 0.086, 0.000)
Ac (0.914, 0.914, 0.000)
Mg (0.250, 0.750, 0.500)
Mg (0.750, 0.250, 0.500)
Ge (0.500, 0.500, 0.000)

Principal peaks in the range 15° ≤ 2θ ≤ 90°, in order of rising 2θ:
| d/Å | 2theta | I (rel.) |
| --- | --- | --- |
| 3.972 | 22.38 | 93 |
| 3.287 | 27.13 | 28 |
| 2.867 | 31.20 | 49 |
| 2.827 | 31.65 | 100 |
| 2.753 | 32.52 | 45 |
| 2.314 | 38.93 | 46 |
| 2.027 | 44.70 | 28 |
| 1.806 | 50.55 | 23 |
| 1.648 | 55.80 | 41 |
| 1.525 | 60.74 | 25 |

Question: What is the formula in the first record?
Answer: CePuTiN3